Entry 1:
Calculated powder diffraction line list of Ce2In8Au for Cu Kα X-rays, from the PBE geometry in Alexandria.

Top 12 peaks for 2θ from 10° to 90°, by angle:
2θ/deg, d_spacing, I (rel.)
18.5, 4.785, 8
19.9, 4.461, 8
30.1, 2.966, 12
34.3, 2.612, 100
36.4, 2.465, 8
37.6, 2.393, 49
39.6, 2.278, 8
53.4, 1.717, 11
54.2, 1.692, 17
59.3, 1.559, 10
65.8, 1.420, 32
66.7, 1.402, 9

Structure:
Lattice parameters (Å, degrees): 4.785 4.785 12.327 90.00 90.00 90.00
Positions (direct):
Ce 0.000 0.000 0.189
Ce 0.000 0.000 0.811
In 0.000 0.500 0.000
In 0.000 0.500 0.370
In 0.000 0.500 0.630
In 0.500 0.000 0.000
In 0.500 0.000 0.370
In 0.500 0.000 0.630
In 0.500 0.500 0.188
In 0.500 0.500 0.812
Au 0.000 0.000 0.500

Entry 2:
Calculated powder diffraction line list of Sm5DyHg6 for Cu Kα X-rays, from the PBE geometry in Alexandria.

Top 12 peaks for 2θ from 10° to 90°, by angle:
2θ/deg, d_spacing, I (rel.)
33.4, 2.679, 100
33.6, 2.666, 49
47.8, 1.904, 9
48.3, 1.885, 18
59.7, 1.549, 19
60.0, 1.542, 38
70.3, 1.340, 12
79.7, 1.203, 8
80.5, 1.193, 12
80.6, 1.192, 4
89.8, 1.093, 3
89.9, 1.092, 3

Structure:
Lattice parameters (Å, degrees): 8.436 8.436 7.615 90.00 90.00 143.18
Positions (direct):
Sm 0.000 0.000 0.000
Sm 0.332 0.668 0.000
Sm 0.333 0.667 0.500
Sm 0.667 0.333 0.500
Sm 0.668 0.332 0.000
Dy 0.000 0.000 0.500
Hg 0.164 0.836 0.253
Hg 0.164 0.836 0.747
Hg 0.500 0.500 0.255
Hg 0.500 0.500 0.745
Hg 0.836 0.164 0.253
Hg 0.836 0.164 0.747

Entry 3:
Calculated powder diffraction line list of Ti6In2Pt for Cu Kα X-rays, from the PBE geometry in Alexandria.

Top 12 peaks for 2θ from 10° to 90°, by angle:
2θ/deg, d_spacing, I (rel.)
15.1, 5.880, 15
24.3, 3.664, 95
24.5, 3.640, 100
39.8, 2.266, 72
40.1, 2.247, 71
40.9, 2.209, 34
41.3, 2.187, 33
46.4, 1.958, 35
47.9, 1.900, 16
48.2, 1.889, 15
48.5, 1.878, 18
48.8, 1.867, 15

Structure:
Lattice parameters (Å, degrees): 7.682 7.682 4.375 105.73 105.73 50.56
Positions (direct):
Ti 0.074 0.608 0.348
Ti 0.227 0.773 0.000
Ti 0.392 0.926 0.652
Ti 0.608 0.074 0.348
Ti 0.773 0.227 0.000
Ti 0.926 0.392 0.652
In 0.336 0.336 0.844
In 0.664 0.664 0.156
Pt 0.000 0.000 0.500

Entry 4:
Calculated powder diffraction line list of HgGe5Au8 for Cu Kα X-rays, from the PBE geometry in Alexandria.

Top 12 peaks for 2θ from 10° to 90°, by angle:
2θ/deg, d_spacing, I (rel.)
26.1, 3.418, 58
27.3, 3.267, 54
28.3, 3.157, 37
32.6, 2.749, 36
35.5, 2.530, 36
38.0, 2.370, 60
38.9, 2.316, 58
40.0, 2.253, 36
40.7, 2.216, 35
41.3, 2.186, 35
42.2, 2.143, 100
42.5, 2.128, 54

Structure:
Lattice parameters (Å, degrees): 4.405 7.241 9.840 73.28 78.79 79.41
Positions (direct):
Hg 0.000 0.000 0.000
Ge 0.480 0.285 0.012
Ge 0.750 0.996 0.394
Ge 0.972 0.297 0.530
Ge 0.976 0.865 0.711
Ge 0.997 0.635 0.268
Au 0.045 0.661 0.529
Au 0.117 0.255 0.267
Au 0.425 0.879 0.246
Au 0.434 0.742 0.862
Au 0.450 0.099 0.634
Au 0.537 0.445 0.699
Au 0.577 0.534 0.146
Au 0.988 0.463 0.891

Entry 5:
Calculated powder diffraction line list of Er4SbC for Cu Kα X-rays, from the PBE geometry in Alexandria.

Top 12 peaks for 2θ from 10° to 90°, by angle:
2θ/deg, d_spacing, I (rel.)
18.3, 4.842, 21
26.9, 3.309, 69
29.8, 2.994, 100
30.6, 2.924, 34
30.7, 2.910, 35
31.7, 2.824, 78
31.9, 2.802, 46
32.1, 2.787, 25
37.0, 2.430, 43
37.1, 2.421, 32
37.9, 2.372, 34
39.8, 2.267, 22

Structure:
Lattice parameters (Å, degrees): 5.909 9.683 5.936 90.00 99.91 90.00
Positions (direct):
Er 0.134 0.250 0.239
Er 0.259 0.750 0.369
Er 0.260 0.048 0.757
Er 0.260 0.452 0.757
Er 0.740 0.548 0.243
Er 0.740 0.952 0.243
Er 0.741 0.250 0.631
Er 0.866 0.750 0.761
Sb 0.401 0.750 0.904
Sb 0.599 0.250 0.096
C 0.119 0.250 0.615
C 0.881 0.750 0.385

Entry 6:
Calculated powder diffraction line list of Tb7Dy2Er4 for Cu Kα X-rays, from the PBE geometry in Alexandria.

Top 12 peaks for 2θ from 10° to 90°, by angle:
2θ/deg, d_spacing, I (rel.)
27.2, 3.276, 20
29.6, 3.023, 17
30.3, 2.945, 43
32.2, 2.777, 16
32.6, 2.745, 100
34.2, 2.620, 16
36.1, 2.486, 31
51.6, 1.770, 17
52.4, 1.745, 29
60.1, 1.540, 12
63.1, 1.473, 14
64.7, 1.440, 13

Structure:
Lattice parameters (Å, degrees): 6.046 6.046 13.102 90.00 90.00 120.00
Positions (direct):
Tb 0.000 0.000 0.000
Tb 0.000 0.361 0.218
Tb 0.000 0.639 0.782
Tb 0.361 0.000 0.218
Tb 0.361 0.361 0.782
Tb 0.639 0.000 0.782
Tb 0.639 0.639 0.218
Dy 0.333 0.667 0.000
Dy 0.667 0.333 0.000
Er 0.000 0.000 0.393
Er 0.000 0.000 0.607
Er 0.333 0.667 0.500
Er 0.667 0.333 0.500

Entry 7:
Calculated powder diffraction line list of ZrBTe for Cu Kα X-rays, from the PBE geometry in Alexandria.

Top 12 peaks for 2θ from 10° to 90°, by angle:
2θ/deg, d_spacing, I (rel.)
17.5, 5.078, 21
27.4, 3.255, 13
28.1, 3.171, 32
30.0, 2.978, 100
32.3, 2.768, 24
35.4, 2.537, 64
37.0, 2.432, 15
47.4, 1.918, 23
48.3, 1.883, 16
49.3, 1.847, 15
56.8, 1.620, 15
62.3, 1.490, 14

Structure:
Lattice parameters (Å, degrees): 6.755 3.767 10.600 90.00 106.63 90.00
Positions (direct):
Zr 0.184 0.000 0.345
Zr 0.316 0.500 0.655
Zr 0.684 0.500 0.345
Zr 0.816 0.000 0.655
B 0.105 0.000 0.555
B 0.395 0.500 0.445
B 0.605 0.500 0.555
B 0.895 0.000 0.445
Te 0.071 0.500 0.848
Te 0.429 0.000 0.152
Te 0.571 0.000 0.848
Te 0.929 0.500 0.152

Entry 8:
Calculated powder diffraction line list of Zn2PW for Cu Kα X-rays, from the PBE geometry in Alexandria.

Top 12 peaks for 2θ from 10° to 90°, by angle:
2θ/deg, d_spacing, I (rel.)
18.2, 4.869, 46
31.5, 2.838, 48
36.4, 2.470, 94
41.0, 2.203, 25
45.4, 1.997, 100
52.4, 1.746, 33
55.9, 1.644, 10
62.4, 1.487, 14
71.8, 1.315, 50
77.3, 1.235, 10
88.5, 1.105, 15
89.8, 1.092, 14

Structure:
Lattice parameters (Å, degrees): 3.493 3.493 4.869 90.00 90.00 90.00
Positions (direct):
Zn 0.000 0.000 0.248
Zn 0.000 0.000 0.752
P 0.500 0.500 0.500
W 0.500 0.500 0.000

Entry 9:
Calculated powder diffraction line list of Ac2Pm5PrTm for Cu Kα X-rays, from the PBE geometry in Alexandria.

Top 12 peaks for 2θ from 10° to 90°, by angle:
2θ/deg, d_spacing, I (rel.)
25.8, 3.454, 11
27.2, 3.281, 17
29.2, 3.059, 39
30.6, 2.923, 40
31.2, 2.870, 100
32.8, 2.734, 13
41.4, 2.183, 11
45.4, 1.997, 10
49.4, 1.846, 13
54.7, 1.677, 21
57.4, 1.604, 15
59.2, 1.561, 15

Structure:
Lattice parameters (Å, degrees): 10.726 10.726 10.936 90.00 90.00 148.37
Positions (direct):
Ac 0.114 0.886 0.500
Ac 0.117 0.883 0.085
Ac 0.883 0.117 0.585
Ac 0.886 0.114 0.000
Pm 0.018 0.982 0.789
Pm 0.281 0.719 0.082
Pm 0.294 0.706 0.474
Pm 0.384 0.616 0.788
Pm 0.484 0.516 0.511
Pm 0.516 0.484 0.011
Pm 0.616 0.384 0.288
Pm 0.706 0.294 0.974
Pm 0.719 0.281 0.582
Pm 0.982 0.018 0.289
Pr 0.410 0.590 0.235
Pr 0.590 0.410 0.735
Tm 0.206 0.794 0.779
Tm 0.794 0.206 0.279

Entry 10:
Calculated powder diffraction line list of Ca2TiTe2 for Cu Kα X-rays, from the PBE geometry in Alexandria.

Top 12 peaks for 2θ from 10° to 90°, by angle:
2θ/deg, d_spacing, I (rel.)
20.7, 4.290, 10
23.2, 3.837, 27
30.7, 2.912, 21
32.5, 2.757, 100
33.0, 2.713, 37
43.5, 2.081, 9
44.8, 2.022, 11
45.8, 1.982, 11
49.5, 1.843, 21
50.7, 1.801, 14
57.6, 1.601, 14
62.9, 1.478, 16

Structure:
Lattice parameters (Å, degrees): 8.580 8.580 3.965 90.00 90.00 90.00
Positions (direct):
Ca 0.141 0.359 0.000
Ca 0.359 0.859 0.000
Ca 0.641 0.141 0.000
Ca 0.859 0.641 0.000
Ti 0.000 0.000 0.000
Ti 0.500 0.500 0.000
Te 0.166 0.666 0.500
Te 0.334 0.166 0.500
Te 0.666 0.834 0.500
Te 0.834 0.334 0.500

Entry 11:
Calculated powder diffraction line list of AcCe2Tl2 for Cu Kα X-rays, from the PBE geometry in Alexandria.

Top 12 peaks for 2θ from 10° to 90°, by angle:
2θ/deg, d_spacing, I (rel.)
21.0, 4.231, 16
27.4, 3.254, 44
32.1, 2.792, 100
35.1, 2.556, 88
45.1, 2.010, 12
48.3, 1.885, 33
48.8, 1.865, 16
58.4, 1.580, 11
61.1, 1.517, 32
63.0, 1.476, 16
63.2, 1.471, 14
83.1, 1.162, 14

Structure:
Lattice parameters (Å, degrees): 5.112 5.112 14.395 90.00 90.00 120.00
Positions (direct):
Ac 0.333 0.667 0.250
Ac 0.667 0.333 0.750
Ce 0.333 0.667 0.532
Ce 0.333 0.667 0.968
Ce 0.667 0.333 0.032
Ce 0.667 0.333 0.468
Tl 0.000 0.000 0.118
Tl 0.000 0.000 0.382
Tl 0.000 0.000 0.618
Tl 0.000 0.000 0.882

Entry 12:
Calculated powder diffraction line list of HfPaSb2 for Cu Kα X-rays, from the PBE geometry in Alexandria.

Top 12 peaks for 2θ from 10° to 90°, by angle:
2θ/deg, d_spacing, I (rel.)
28.0, 3.184, 92
30.9, 2.890, 37
31.5, 2.837, 100
34.3, 2.614, 21
35.2, 2.549, 61
37.2, 2.419, 27
38.1, 2.360, 21
39.0, 2.308, 31
40.5, 2.227, 21
43.5, 2.082, 31
44.3, 2.046, 39
70.0, 1.344, 23

Structure:
Lattice parameters (Å, degrees): 7.368 4.091 13.977 90.00 90.00 90.00
Positions (direct):
Hf 0.054 0.250 0.089
Hf 0.446 0.750 0.589
Hf 0.554 0.250 0.411
Hf 0.946 0.750 0.911
Pa 0.141 0.750 0.349
Pa 0.359 0.250 0.849
Pa 0.641 0.750 0.151
Pa 0.859 0.250 0.651
Sb 0.141 0.750 0.728
Sb 0.208 0.250 0.511
Sb 0.292 0.750 0.011
Sb 0.359 0.250 0.228
Sb 0.641 0.750 0.772
Sb 0.708 0.250 0.989
Sb 0.792 0.750 0.489
Sb 0.859 0.250 0.272

Entry 13:
Calculated powder diffraction line list of MnNi7Pt2 for Cu Kα X-rays, from the PBE geometry in Alexandria.

Top 12 peaks for 2θ from 10° to 90°, by angle:
2θ/deg, d_spacing, I (rel.)
19.0, 4.672, 32
22.3, 3.980, 18
27.3, 3.261, 36
30.9, 2.896, 27
38.5, 2.336, 23
41.7, 2.166, 20
42.0, 2.149, 40
42.7, 2.119, 60
44.6, 2.033, 81
47.8, 1.903, 100
75.5, 1.260, 20
81.8, 1.177, 19

Structure:
Lattice parameters (Å, degrees): 6.675 6.675 6.675 142.98 135.03 59.61
Positions (direct):
Mn 0.000 0.000 0.000
Ni 0.068 0.813 0.256
Ni 0.385 0.385 0.000
Ni 0.443 0.187 0.256
Ni 0.500 0.000 0.500
Ni 0.557 0.813 0.744
Ni 0.615 0.615 0.000
Ni 0.932 0.187 0.744
Pt 0.121 0.621 0.500
Pt 0.879 0.379 0.500